Entry 1:
# Zr4CoB3
Theoretical X-ray diffraction stick pattern, copper Kα. Input: a DFT-relaxed cell (GGA-PBE, OQMD).
Lines closer than 0.1° are merged.

Principal peaks in the range 10° ≤ 2θ ≤ 90°, most intense first:
h k l	2theta	d (Å)	I/Imax
1 0 6	37.52	2.397	1000
1 0 5	35.41	2.535	715
1 1 0	53.57	1.711	465
1 0 2	31.05	2.880	411
0 0 8	29.20	3.058	249
1 0 1	30.39	2.942	245

Atomic structure:
```
data_Zr4CoB3
_chemical_formula_sum 'Zr8 Co2 B6'
_symmetry_space_group_name_H-M 'P 63/m m c'
_symmetry_Int_Tables_number 194
_symmetry_space_group_name_Hall '-P 6c 2c'
_cell_length_a 3.4215
_cell_length_b 3.4215
_cell_length_c 24.4654
_cell_angle_alpha 90.00
_cell_angle_beta 90.00
_cell_angle_gamma 120.00
loop_
_atom_site_label
_atom_site_fract_x
_atom_site_fract_y
_atom_site_fract_z
Zr1 0.0000 0.0000 0.1739
Zr2 0.3333 0.6667 0.0592
Co1 0.3333 0.6667 0.2500
B1 0.0000 0.0000 0.0000
B2 0.3333 0.6667 0.6184
```

=====

Entry 2:
# ZrCo2B
Theoretical X-ray diffraction stick pattern, copper Kα. Input: a DFT-relaxed cell (GGA-PBE, OQMD).
Lines closer than 0.1° are merged.

Principal peaks in the range 10° ≤ 2θ ≤ 90°, most intense first:
h k l	2theta	d (Å)	I/Imax
1 0 2	41.74	2.164	1000
1 2 1	47.44	1.917	793
1 1 0	30.54	2.927	568
0 2 1	39.90	2.259	555
0 1 2	37.92	2.373	400
1 1 1	34.87	2.573	335

Atomic structure:
```
data_ZrCo2B
_chemical_formula_sum 'Zr2 Co4 B2'
_symmetry_space_group_name_H-M 'P m m n'
_symmetry_Int_Tables_number 59
_cell_length_a 3.619
_cell_length_b 4.975
_cell_length_c 5.400
_cell_angle_alpha 90.00
_cell_angle_beta 90.00
_cell_angle_gamma 90.00
loop_
_symmetry_equiv_pos_as_xyz
'x,y,z'
'-x,-y,-z'
'-x+1/2,-y+1/2,z'
'x+1/2,y+1/2,-z'
'x+1/2,-y,-z'
'-x+1/2,y,z'
'-x,y+1/2,-z'
'x,-y+1/2,z'
loop_
_atom_site_label
_atom_site_fract_x
_atom_site_fract_y
_atom_site_fract_z
Zr1 0.250 0.250 0.110
Co1 0.250 0.021 0.640
B1 0.250 0.750 0.333
```

=====

Entry 3:
# CsCuB4
Theoretical X-ray diffraction stick pattern, copper Kα. Input: a DFT-relaxed cell (GGA-PBE, OQMD).
Lines closer than 0.1° are merged.

Principal peaks in the range 10° ≤ 2θ ≤ 90°, most intense first:
h k l	2theta	d (Å)	I/Imax
1 0 2	39.18	2.299	1000
1 0 0	32.73	2.737	637
0 0 2	20.95	4.241	616
1 0 4	54.77	1.676	353
1 1 2	62.76	1.481	189
1 1 0	58.41	1.580	178

Atomic structure:
```
data_CsCuB4
_chemical_formula_sum 'Cs1 Cu1 B4'
_symmetry_space_group_name_H-M 'P 6/m m m'
_symmetry_Int_Tables_number 191
_symmetry_space_group_name_Hall '-P 6 2'
_cell_length_a 3.1599
_cell_length_b 3.1599
_cell_length_c 8.4818
_cell_angle_alpha 90.00
_cell_angle_beta 90.00
_cell_angle_gamma 120.00
loop_
_atom_site_label
_atom_site_fract_x
_atom_site_fract_y
_atom_site_fract_z
Cs1 0.0000 0.0000 0.0000
Cu1 0.0000 0.0000 0.5000
B1 0.3333 0.6667 0.3268
```

=====

Entry 4:
# CsNa2Er2BP2O11
Theoretical X-ray diffraction stick pattern, copper Kα. Input: a DFT-relaxed cell (GGA-PBE, OQMD).
Lines closer than 0.1° are merged.

Principal peaks in the range 10° ≤ 2θ ≤ 90°, most intense first:
h k l	2theta	d (Å)	I/Imax
1 1 2	22.04	4.034	1000
0 4 2	29.71	3.007	809
2 0 0	25.80	3.453	699
1 5 0	33.29	2.692	578
0 0 2	16.78	5.284	310
2 4 2	39.75	2.268	302

Atomic structure:
```
data_CsNa2Er2BP2O11
_chemical_formula_sum 'Cs4 Na8 Er8 B4 P8 O44'
_symmetry_space_group_name_H-M 'C m c m'
_symmetry_Int_Tables_number 63
_symmetry_space_group_name_Hall '-C 2c 2'
_cell_length_a 6.905
_cell_length_b 14.628
_cell_length_c 10.568
_cell_angle_alpha 90.00
_cell_angle_beta 90.00
_cell_angle_gamma 90.00
loop_
_atom_site_label
_atom_site_fract_x
_atom_site_fract_y
_atom_site_fract_z
Cs1 0.000 0.019 0.250
Na1 0.244 0.257 0.250
Er1 0.000 0.381 0.032
B1 0.000 0.485 0.250
P1 0.000 0.181 0.525
O1 0.000 0.223 0.110
O2 0.000 0.267 0.614
O3 0.000 0.389 0.250
O4 0.000 0.474 0.633
O5 0.181 0.122 0.550
```

=====

Entry 5:
# CsNa2Gd2BP2O11
Theoretical X-ray diffraction stick pattern, copper Kα. Input: a DFT-relaxed cell (GGA-PBE, OQMD).
Lines closer than 0.1° are merged.

Principal peaks in the range 10° ≤ 2θ ≤ 90°, most intense first:
h k l	2theta	d (Å)	I/Imax
1 1 2	21.80	4.076	1000
0 4 2	29.24	3.054	877
2 0 0	25.44	3.501	722
1 5 0	32.63	2.744	381
2 4 2	39.13	2.302	363
3 1 2	42.72	2.117	357

Atomic structure:
```
data_CsNa2Gd2BP2O11
_chemical_formula_sum 'Cs4 Na8 Gd8 B4 P8 O44'
_symmetry_space_group_name_H-M 'C m c m'
_symmetry_Int_Tables_number 63
_symmetry_space_group_name_Hall '-C 2c 2'
_cell_length_a 7.002
_cell_length_b 14.914
_cell_length_c 10.646
_cell_angle_alpha 90.00
_cell_angle_beta 90.00
_cell_angle_gamma 90.00
loop_
_atom_site_label
_atom_site_fract_x
_atom_site_fract_y
_atom_site_fract_z
Cs1 0.000 0.017 0.250
Na1 0.243 0.257 0.250
Gd1 0.000 0.380 0.029
B1 0.000 0.483 0.250
P1 0.000 0.181 0.525
O1 0.000 0.222 0.109
O2 0.000 0.263 0.615
O3 0.000 0.389 0.250
O4 0.000 0.475 0.635
O5 0.178 0.123 0.549
```

=====

Entry 6:
# Cs2HgB9Se9
Theoretical X-ray diffraction stick pattern, copper Kα. Input: a DFT-relaxed cell (GGA-PBE, OQMD).
Lines closer than 0.1° are merged.

Principal peaks in the range 10° ≤ 2θ ≤ 90°, most intense first:
h k l	2theta	d (Å)	I/Imax
1 -3 2	27.00	3.302	1000
2 1 1	27.69	3.221	827
0 2 -2	21.83	4.071	803
2 -1 3	30.12	2.967	554
-1 2 2	25.11	3.546	534
0 2 -1	18.45	4.808	522

Atomic structure:
```
data_Cs2HgB9Se9
_chemical_formula_sum 'Cs4 Hg2 B18 Se18'
_symmetry_space_group_name_H-M 'P -1'
_symmetry_Int_Tables_number 2
_cell_length_a 10.113
_cell_length_b 10.967
_cell_length_c 11.250
_cell_angle_alpha 100.64
_cell_angle_beta 90.40
_cell_angle_gamma 116.00
loop_
_symmetry_equiv_pos_as_xyz
'x,y,z'
'-x,-y,-z'
loop_
_atom_site_label
_atom_site_fract_x
_atom_site_fract_y
_atom_site_fract_z
Cs1 0.178 0.347 0.014
Cs2 0.205 0.827 0.496
Hg1 0.327 0.321 0.579
B1 0.255 0.091 0.280
B2 0.257 0.590 0.789
B3 0.341 0.008 0.038
B4 0.341 0.880 0.914
B5 0.382 0.873 0.066
B6 0.423 0.060 0.904
B7 0.435 0.723 0.240
B8 0.486 0.044 0.149
B9 0.487 0.840 0.950
Se1 0.136 0.132 0.401
Se2 0.139 0.406 0.690
Se3 0.166 0.027 0.109
Se4 0.168 0.721 0.807
Se5 0.262 0.722 0.155
Se6 0.362 0.149 0.787
Se7 0.396 0.596 0.350
Se8 0.448 0.101 0.321
Se9 0.449 0.644 0.876
```

=====

Entry 7:
# Cs2LiNdB2O6
Theoretical X-ray diffraction stick pattern, copper Kα. Input: a DFT-relaxed cell (GGA-PBE, OQMD).
Lines closer than 0.1° are merged.

Principal peaks in the range 10° ≤ 2θ ≤ 90°, most intense first:
h k l	2theta	d (Å)	I/Imax
1 3 0	29.76	3.002	1000
1 1 3	30.22	2.957	910
1 1 2	23.05	3.859	684
0 2 2	24.93	3.571	420
2 0 0	24.73	3.599	419
1 0 2	21.21	4.190	303

Atomic structure:
```
data_Cs2LiNdB2O6
_chemical_formula_sum 'Cs8 Li4 Nd4 B8 O24'
_symmetry_space_group_name_H-M 'P b c m'
_symmetry_Int_Tables_number 57
_cell_length_a 7.199
_cell_length_b 9.908
_cell_length_c 10.304
_cell_angle_alpha 90.00
_cell_angle_beta 90.00
_cell_angle_gamma 90.00
loop_
_symmetry_equiv_pos_as_xyz
'x,y,z'
'-x,-y,-z'
'-x,-y,z+1/2'
'x,y,-z+1/2'
'x,-y+1/2,-z'
'-x,y+1/2,z'
'-x,y+1/2,-z+1/2'
'x,-y+1/2,z+1/2'
loop_
_atom_site_label
_atom_site_fract_x
_atom_site_fract_y
_atom_site_fract_z
Cs1 0.225 0.077 0.052
Li1 0.051 0.161 0.750
Nd1 0.360 0.727 0.250
B1 0.193 0.750 0.000
B2 0.343 0.068 0.750
O1 0.103 0.709 0.611
O2 0.188 0.515 0.250
O3 0.319 0.207 0.750
O4 0.388 0.750 0.000
O5 0.481 0.512 0.750
```

=====

Entry 8:
# CsNa2Sm2BP2O11
Theoretical X-ray diffraction stick pattern, copper Kα. Input: a DFT-relaxed cell (GGA-PBE, OQMD).
Lines closer than 0.1° are merged.

Principal peaks in the range 10° ≤ 2θ ≤ 90°, most intense first:
h k l	2theta	d (Å)	I/Imax
1 1 2	21.67	4.100	1000
0 4 2	28.98	3.081	730
2 0 0	25.22	3.532	588
3 1 2	42.39	2.132	363
1 5 0	32.27	2.774	308
2 4 2	38.78	2.322	297

Atomic structure:
```
data_CsNa2Sm2BP2O11
_chemical_formula_sum 'Cs4 Na8 Sm8 B4 P8 O44'
_symmetry_space_group_name_H-M 'C m c m'
_symmetry_Int_Tables_number 63
_symmetry_space_group_name_Hall '-C 2c 2'
_cell_length_a 7.063
_cell_length_b 15.082
_cell_length_c 10.691
_cell_angle_alpha 90.00
_cell_angle_beta 90.00
_cell_angle_gamma 90.00
loop_
_atom_site_label
_atom_site_fract_x
_atom_site_fract_y
_atom_site_fract_z
Cs1 0.000 0.016 0.250
Na1 0.241 0.256 0.250
Sm1 0.000 0.379 0.027
B1 0.000 0.482 0.250
P1 0.000 0.180 0.525
O1 0.000 0.221 0.108
O2 0.000 0.261 0.616
O3 0.000 0.389 0.250
O4 0.000 0.476 0.636
O5 0.177 0.122 0.549
```

=====

Entry 9:
# CsNa2Tm2BP2O11
Theoretical X-ray diffraction stick pattern, copper Kα. Input: a DFT-relaxed cell (GGA-PBE, OQMD).
Lines closer than 0.1° are merged.

Principal peaks in the range 10° ≤ 2θ ≤ 90°, most intense first:
h k l	2theta	d (Å)	I/Imax
1 1 2	22.08	4.025	1000
0 4 2	29.80	2.998	794
2 0 0	25.91	3.439	690
1 5 0	33.42	2.681	568
2 4 2	39.88	2.260	344
0 0 2	16.79	5.280	313

Atomic structure:
```
data_CsNa2Tm2BP2O11
_chemical_formula_sum 'Cs4 Na8 Tm8 B4 P8 O44'
_symmetry_space_group_name_H-M 'C m c m'
_symmetry_Int_Tables_number 63
_symmetry_space_group_name_Hall '-C 2c 2'
_cell_length_a 6.878
_cell_length_b 14.566
_cell_length_c 10.560
_cell_angle_alpha 90.00
_cell_angle_beta 90.00
_cell_angle_gamma 90.00
loop_
_atom_site_label
_atom_site_fract_x
_atom_site_fract_y
_atom_site_fract_z
Cs1 0.000 0.019 0.250
Na1 0.245 0.256 0.250
Tm1 0.000 0.381 0.032
B1 0.000 0.485 0.250
P1 0.000 0.182 0.525
O1 0.000 0.223 0.110
O2 0.000 0.268 0.614
O3 0.000 0.389 0.250
O4 0.000 0.474 0.633
O5 0.181 0.123 0.551
```